# Pm2ThPd2
Simulated powder diffraction line list, Cu Kα (λ = 1.5418 Å). Input: a structure optimized by DFT (PBE).

Principal peaks in the range 10 to 90 degrees two-theta, in order of rising 2θ:
d/Å, Position (°2θ), I_rel, index
3.073, 29.06, 67, 3 1 0
2.917, 30.65, 100, 2 2 -1
2.747, 32.60, 87, 1 1 2
2.541, 35.33, 50, 3 1 1
2.477, 36.26, 43, 2 2 -2
2.458, 36.55, 39, 4 0 -2
2.278, 39.57, 50, 1 1 -3
2.174, 41.54, 44, 1 3 1
1.726, 53.06, 19, 3 1 -4
1.606, 57.36, 29, 5 3 -1

Structural model:
```
data_Pm2ThPd2
_chemical_formula_sum 'Pm8 Th4 Pd8'
_symmetry_space_group_name_H-M 'P 1 21/c 1'
_symmetry_Int_Tables_number 14
_symmetry_space_group_name_Hall '-P 2ybc'
_cell_length_a 10.7571
_cell_length_b 7.2477
_cell_length_c 7.2378
_cell_angle_alpha 90.00
_cell_angle_beta 108.86
_cell_angle_gamma 90.00
loop_
_atom_site_label
_atom_site_type_symbol
_atom_site_fract_x
_atom_site_fract_y
_atom_site_fract_z
Pm1 Pm 0.1084 0.1826 0.0387
Pm2 Pm 0.2464 0.6659 0.2420
Th1 Th 0.3962 0.1809 0.4589
Pd1 Pd 0.0680 0.5476 0.8517
Pd2 Pd 0.4278 0.5451 0.6420
```


# PmTi2Pd9
Simulated powder diffraction line list, Cu Kα (λ = 1.5418 Å). Input: a structure optimized by DFT (PBE).

Principal peaks in the range 10 to 90 degrees two-theta, in order of rising 2θ:
d/Å, Position (°2θ), I_rel, index
2.569, 34.93, 4, 1 1 2
2.403, 37.42, 3, 0 0 5
2.318, 38.86, 100, 1 1 3
2.010, 45.11, 34, 2 0 0
2.002, 45.31, 14, 0 0 6
1.421, 65.70, 11, 2 2 0
1.418, 65.86, 18, 2 0 6
1.211, 79.04, 24, 3 1 3
1.208, 79.32, 8, 1 1 9
1.159, 83.41, 9, 2 2 6

Structural model:
```
data_PmTi2Pd9
_chemical_formula_sum 'Pm1 Ti2 Pd9'
_symmetry_space_group_name_H-M 'P 4/m m m'
_symmetry_Int_Tables_number 123
_symmetry_space_group_name_Hall '-P 4 2'
_cell_length_a 4.0195
_cell_length_b 4.0195
_cell_length_c 12.0097
_cell_angle_alpha 90.00
_cell_angle_beta 90.00
_cell_angle_gamma 90.00
loop_
_atom_site_label
_atom_site_type_symbol
_atom_site_fract_x
_atom_site_fract_y
_atom_site_fract_z
Pm1 Pm 0.0000 0.0000 0.0000
Ti1 Ti 0.0000 0.0000 0.3374
Pd1 Pd 0.0000 0.5000 0.1842
Pd2 Pd 0.0000 0.5000 0.5000
Pd3 Pd 0.5000 0.5000 0.0000
Pd4 Pd 0.5000 0.5000 0.3414
```


# Pm12TlPd6
Simulated powder diffraction line list, Cu Kα (λ = 1.5418 Å). Input: a structure optimized by DFT (PBE).

Principal peaks in the range 10 to 90 degrees two-theta, in order of rising 2θ:
d/Å, Position (°2θ), I_rel, index
3.302, 27.00, 25, 3 -2 2
3.261, 27.34, 68, 1 3 1
3.060, 29.19, 37, 0 0 3
2.820, 31.73, 30, 2 -1 3
2.778, 32.23, 44, 4 -1 2
2.748, 32.59, 100, 4 1 0
2.472, 36.35, 23, 0 3 3
2.426, 37.06, 31, 0 5 1
2.206, 40.90, 20, 5 0 2
2.043, 44.33, 28, 5 -1 3

Structural model:
```
data_Pm12TlPd6
_chemical_formula_sum 'Pm36 Tl3 Pd18'
_symmetry_space_group_name_H-M 'R -3'
_symmetry_Int_Tables_number 148
_symmetry_space_group_name_Hall '-R 3'
_cell_length_a 14.5266
_cell_length_b 14.5266
_cell_length_c 9.1790
_cell_angle_alpha 90.00
_cell_angle_beta 90.00
_cell_angle_gamma 120.00
loop_
_atom_site_label
_atom_site_type_symbol
_atom_site_fract_x
_atom_site_fract_y
_atom_site_fract_z
Pm1 Pm 0.0391 0.7862 0.4296
Pm2 Pm 0.0595 0.8806 0.8264
Tl1 Tl 0.0000 0.0000 0.5000
Pd1 Pd 0.0711 0.5711 0.7826
```


# Pm4Tl3Pd
Simulated powder diffraction line list, Cu Kα (λ = 1.5418 Å). Input: a structure optimized by DFT (PBE).

Principal peaks in the range 10 to 90 degrees two-theta, in order of rising 2θ:
d/Å, Position (°2θ), I_rel, index
3.050, 29.28, 7, 1 0 3
2.735, 32.75, 100, 1 0 4
2.603, 34.45, 47, 1 1 0
2.042, 44.36, 8, 0 0 8
1.841, 49.51, 17, 2 0 0
1.607, 57.34, 16, 1 1 8
1.527, 60.64, 35, 2 1 4
1.367, 68.64, 9, 2 0 8
1.175, 81.98, 8, 3 0 4
1.164, 82.93, 8, 3 1 0

Structural model:
```
data_Pm4Tl3Pd
_chemical_formula_sum 'Pm4 Tl3 Pd1'
_symmetry_space_group_name_H-M 'P 4/m m m'
_symmetry_Int_Tables_number 123
_symmetry_space_group_name_Hall '-P 4 2'
_cell_length_a 3.6818
_cell_length_b 3.6818
_cell_length_c 16.3378
_cell_angle_alpha 90.00
_cell_angle_beta 90.00
_cell_angle_gamma 90.00
loop_
_atom_site_label
_atom_site_type_symbol
_atom_site_fract_x
_atom_site_fract_y
_atom_site_fract_z
Pm1 Pm 0.0000 0.0000 0.1064
Pm2 Pm 0.0000 0.0000 0.3684
Tl1 Tl 0.5000 0.5000 0.2388
Tl2 Tl 0.5000 0.5000 0.5000
Pd1 Pd 0.5000 0.5000 0.0000
```